The following is a theoretical PXRD pattern of Na3GaSiGeP2O12. It was derived from a GGA-PBE-relaxed structure, using a wavelength of 1.5418 Å.

a = 8.7243 Å, b = 8.7243 Å, c = 8.8303 Å
α = 120.04°, β = 120.04°, γ = 60.28°
Sites, in units of the cell vectors:
Na  0.0635  0.9365  0.5000
Na  0.2033  0.4327  0.9786
Na  0.3353  0.7932  0.2169
Na  0.4327  0.2033  0.4786
Na  0.7932  0.3353  0.7169
Na  0.9365  0.0635  0.0000
Ga  0.1771  0.6602  0.7840
Ga  0.6602  0.1771  0.2840
Si  0.3518  0.5677  0.4706
Si  0.5677  0.3518  0.9706
Ge  0.4693  0.9515  0.6611
Ge  0.9515  0.4693  0.1611
P  0.0639  0.2734  0.4781
P  0.2734  0.0639  0.9781
P  0.7719  0.8469  0.4761
P  0.8469  0.7719  0.9761
O  0.0298  0.7481  0.9648
O  0.0353  0.3054  0.3045
O  0.0902  0.2405  0.9831
O  0.0984  0.4365  0.6584
O  0.1634  0.5404  0.2782
O  0.2289  0.9050  0.9615
O  0.2405  0.0902  0.4831
O  0.3054  0.0353  0.8045
O  0.3087  0.6003  0.6417
O  0.3671  0.7592  0.4885
O  0.3873  0.5399  0.9596
O  0.4365  0.0984  0.1584
O  0.5404  0.1634  0.7782
O  0.5399  0.3873  0.4596
O  0.5827  0.8706  0.4772
O  0.6003  0.3087  0.1417
O  0.6767  0.8014  0.7986
O  0.7481  0.0298  0.4648
O  0.7592  0.3671  0.9885
O  0.8014  0.6767  0.2986
O  0.8231  0.9351  0.1540
O  0.8706  0.5827  0.9772
O  0.9050  0.2289  0.4615
O  0.9351  0.8231  0.6540

Peak list (10 most intense, 10 to 80 degrees two-theta, by angle)
Position (°2θ)  I/Imax
20.3  100
20.4  53
23.8  25
28.7  41
32.1  44
32.2  45
32.4  44
35.5  47
35.7  33
48.6  33